No. 1
The following is a simulated powder XRD pattern of CeLu3. It was derived from DFT lattice parameters and positions (GGA-PBE), using CuKα.
No peak broadening, texture or thermal motion is included.

Most intense lines, 2θ = 5–70°, by intensity:
| h k l | 2θ/deg | intensity |
| --- | --- | --- |
| 1 1 1 | 33.5 | 100 |
| 0 1 2 | 33.6 | 48 |
| 0 2 0 | 32.1 | 37 |
| 1 3 1 | 58.2 | 31 |
| 0 2 2 | 44.1 | 23 |
| 1 0 1 | 29.3 | 23 |
| 1 2 3 | 62.6 | 22 |
| 1 0 3 | 52.1 | 19 |
| 2 1 2 | 63.2 | 16 |
| 0 0 2 | 29.4 | 12 |
| 2 2 0 | 62.3 | 11 |
| 2 0 0 | 51.9 | 10 |

Structural model:
```
data_CeLu3
_chemical_formula_sum 'Ce1 Lu3'
_symmetry_space_group_name_H-M 'P m m 2'
_symmetry_Int_Tables_number 25
_symmetry_space_group_name_Hall 'P 2 -2'
_cell_length_a 3.526
_cell_length_b 5.573
_cell_length_c 6.069
_cell_angle_alpha 90.00
_cell_angle_beta 90.00
_cell_angle_gamma 90.00
loop_
_atom_site_label
_atom_site_type_symbol
_atom_site_fract_x
_atom_site_fract_y
_atom_site_fract_z
Ce1 Ce 0.000 0.000 0.000
Lu1 Lu 0.000 0.500 0.338
Lu2 Lu 0.500 0.000 0.507
Lu3 Lu 0.500 0.500 0.842
```

---

No. 2
The following is a simulated powder XRD pattern of Be17NbCu. It was derived from DFT lattice parameters and positions (GGA-PBE), using CuKα.
No peak broadening, texture or thermal motion is included.

Most intense lines, 2θ = 5–70°, by intensity:
| h k l | 2θ/deg | intensity |
| --- | --- | --- |
| 1 0 1 | 16.2 | 100 |
| 1 1 0 | 24.3 | 88 |
| 1 1 3 | 34.9 | 73 |
| 0 3 3 | 50.0 | 44 |
| 1 0 4 | 36.0 | 38 |
| 3 0 0 | 42.8 | 36 |
| 2 1 4 | 50.9 | 31 |
| 0 2 1 | 29.4 | 29 |
| 2 2 0 | 49.8 | 28 |
| 0 2 4 | 44.0 | 28 |
| 2 1 1 | 38.5 | 27 |
| 0 0 3 | 24.6 | 23 |

Structural model:
```
data_Be17NbCu
_chemical_formula_sum 'Be51 Nb3 Cu3'
_symmetry_space_group_name_H-M 'R 3 m'
_symmetry_Int_Tables_number 160
_symmetry_space_group_name_Hall 'R 3 -2"'
_cell_length_a 7.3197
_cell_length_b 7.3197
_cell_length_c 10.8402
_cell_angle_alpha 90.00
_cell_angle_beta 90.00
_cell_angle_gamma 120.00
loop_
_atom_site_label
_atom_site_type_symbol
_atom_site_fract_x
_atom_site_fract_y
_atom_site_fract_z
Be1 Be 0.0000 0.0000 0.0581
Be2 Be 0.0000 0.0000 0.2584
Be3 Be 0.0039 0.5019 0.3155
Be4 Be 0.0338 0.3603 0.8258
Be5 Be 0.1687 0.3374 0.3333
Be6 Be 0.1727 0.3455 0.9995
Nb1 Nb 0.0000 0.0000 0.4955
Cu1 Cu 0.0000 0.0000 0.7777
```

---

No. 3
The following is a simulated powder XRD pattern of LaErGa4. It was derived from DFT lattice parameters and positions (GGA-PBE), using CuKα.
No peak broadening, texture or thermal motion is included.

Most intense lines, 2θ = 5–70°, by intensity:
| h k l | 2θ/deg | intensity |
| --- | --- | --- |
| 1 1 2 | 32.1 | 100 |
| 1 0 5 | 36.9 | 53 |
| 2 0 0 | 42.5 | 41 |
| 1 0 3 | 27.6 | 33 |
| 2 1 5 | 57.5 | 29 |
| 1 0 7 | 47.9 | 25 |
| 2 1 7 | 65.9 | 19 |
| 2 2 0 | 61.6 | 13 |
| 2 1 3 | 51.4 | 12 |
| 0 0 4 | 24.0 | 6 |
| 1 0 9 | 60.2 | 4 |
| 2 0 4 | 49.4 | 4 |

Structural model:
```
data_LaErGa4
_chemical_formula_sum 'La2 Er2 Ga8'
_symmetry_space_group_name_H-M 'I -4 m 2'
_symmetry_Int_Tables_number 119
_symmetry_space_group_name_Hall 'I -4 -2'
_cell_length_a 4.257
_cell_length_b 4.257
_cell_length_c 14.847
_cell_angle_alpha 90.00
_cell_angle_beta 90.00
_cell_angle_gamma 90.00
loop_
_atom_site_label
_atom_site_type_symbol
_atom_site_fract_x
_atom_site_fract_y
_atom_site_fract_z
La1 La 0.000 0.000 0.000
Er1 Er 0.000 0.500 0.750
Ga1 Ga 0.000 0.000 0.415
Ga2 Ga 0.000 0.500 0.169
```

---

No. 4
The following is a simulated powder XRD pattern of NaAgBi3. It was derived from DFT lattice parameters and positions (GGA-PBE), using CuKα.
No peak broadening, texture or thermal motion is included.

Most intense lines, 2θ = 5–70°, by intensity:
| h k l | 2θ/deg | intensity |
| --- | --- | --- |
| 1 1 -3 | 31.6 | 100 |
| 1 1 -1 | 18.7 | 41 |
| 1 1 -2 | 22.6 | 34 |
| 3 1 -3 | 42.9 | 27 |
| 0 2 2 | 36.9 | 24 |
| 2 0 0 | 37.1 | 23 |
| 2 2 -2 | 38.0 | 21 |
| 1 3 -1 | 42.5 | 21 |
| 1 0 -2 | 18.3 | 20 |
| 1 2 -1 | 29.7 | 19 |
| 2 0 -2 | 26.8 | 19 |
| 3 3 -1 | 64.7 | 18 |

Structural model:
```
data_NaAgBi3
_chemical_formula_sum 'Na2 Ag2 Bi6'
_symmetry_space_group_name_H-M 'P 1 c 1'
_symmetry_Int_Tables_number 7
_symmetry_space_group_name_Hall 'P -2yc'
_cell_length_a 6.651
_cell_length_b 6.738
_cell_length_c 9.698
_cell_angle_alpha 90.00
_cell_angle_beta 133.23
_cell_angle_gamma 90.00
loop_
_atom_site_label
_atom_site_type_symbol
_atom_site_fract_x
_atom_site_fract_y
_atom_site_fract_z
Na1 Na 0.000 0.234 0.000
Ag1 Ag 0.683 0.423 0.503
Bi1 Bi 0.251 0.273 0.754
Bi2 Bi 0.377 0.111 0.500
Bi3 Bi 0.744 0.271 0.248
```

---

No. 5
The following is a simulated powder XRD pattern of LaNd4Tl5. It was derived from DFT lattice parameters and positions (GGA-PBE), using CuKα.
No peak broadening, texture or thermal motion is included.

Most intense lines, 2θ = 5–70°, by intensity:
| h k l | 2θ/deg | intensity |
| --- | --- | --- |
| 1 0 5 | 32.2 | 100 |
| 1 1 0 | 32.5 | 49 |
| 2 1 5 | 57.8 | 38 |
| 1 1 10 | 57.1 | 19 |
| 2 0 0 | 46.6 | 18 |
| 2 0 10 | 67.3 | 12 |
| 0 0 10 | 45.6 | 9 |
| 2 2 0 | 68.1 | 6 |
| 1 0 0 | 22.8 | 3 |
| 0 0 5 | 22.4 | 2 |
| 1 1 5 | 39.8 | 2 |
| 2 1 0 | 52.5 | 1 |

Structural model:
```
data_LaNd4Tl5
_chemical_formula_sum 'La1 Nd4 Tl5'
_symmetry_space_group_name_H-M 'P 4/m m m'
_symmetry_Int_Tables_number 123
_symmetry_space_group_name_Hall '-P 4 2'
_cell_length_a 3.896
_cell_length_b 3.896
_cell_length_c 19.875
_cell_angle_alpha 90.00
_cell_angle_beta 90.00
_cell_angle_gamma 90.00
loop_
_atom_site_label
_atom_site_type_symbol
_atom_site_fract_x
_atom_site_fract_y
_atom_site_fract_z
La1 La 0.000 0.000 0.000
Nd1 Nd 0.000 0.000 0.203
Nd2 Nd 0.000 0.000 0.401
Tl1 Tl 0.500 0.500 0.105
Tl2 Tl 0.500 0.500 0.302
Tl3 Tl 0.500 0.500 0.500
```

---

No. 6
The following is a simulated powder XRD pattern of Li2Pu2I2Cl5. It was derived from DFT lattice parameters and positions (GGA-PBE), using CuKα.
No peak broadening, texture or thermal motion is included.

Most intense lines, 2θ = 5–70°, by intensity:
| h k l | 2θ/deg | intensity |
| --- | --- | --- |
| 1 0 1 | 16.3 | 100 |
| 1 1 0 | 22.6 | 47 |
| 1 0 9 | 35.5 | 44 |
| 2 0 0 | 32.2 | 43 |
| 2 1 9 | 48.7 | 36 |
| 2 1 1 | 36.3 | 35 |
| 1 0 3 | 19.1 | 25 |
| 0 0 4 | 13.9 | 20 |
| 1 0 5 | 23.7 | 18 |
| 2 2 0 | 46.2 | 16 |
| 0 0 6 | 20.9 | 15 |
| 1 1 6 | 31.0 | 15 |

Structural model:
```
data_Li2Pu2I2Cl5
_chemical_formula_sum 'Li4 Pu4 I4 Cl10'
_symmetry_space_group_name_H-M 'I 4/m m m'
_symmetry_Int_Tables_number 139
_symmetry_space_group_name_Hall '-I 4 2'
_cell_length_a 5.562
_cell_length_b 5.562
_cell_length_c 25.512
_cell_angle_alpha 90.00
_cell_angle_beta 90.00
_cell_angle_gamma 90.00
loop_
_atom_site_label
_atom_site_type_symbol
_atom_site_fract_x
_atom_site_fract_y
_atom_site_fract_z
Li1 Li 0.000 0.000 0.168
Pu1 Pu 0.000 0.000 0.393
I1 I 0.000 0.000 0.273
Cl1 Cl 0.000 0.000 0.500
Cl2 Cl 0.000 0.500 0.116
```